1.
Structure and calculated XRD peak list of Ba4Nb14O23 (a GGA-PBE-relaxed structure; Cu Kα).

Largest 6 diffraction maxima, sorted by position, 5° ≤ 2θ ≤ 70°:
- 30.01 deg, I 90
- 30.36 deg, I 77
- 30.86 deg, I 55
- 42.90 deg, I 52
- 43.03 deg, I 100
- 62.38 deg, I 61

Atomic structure:
a = 12.619 Å, b = 21.083 Å, c = 4.202 Å
α = 90.00°, β = 90.00°, γ = 90.00°
Space group Cmmm (No. 65)
Symmetry-distinct sites (fractional):
Ba: 0.169 0.102 0.000
Nb: 0.000 0.000 0.500
Nb: 0.000 0.202 0.500
Nb: 0.000 0.296 0.000
Nb: 0.000 0.401 0.500
Nb: 0.000 0.500 0.000
Nb: 0.160 0.299 0.500
Nb: 0.163 0.500 0.500
O: 0.000 0.000 0.000
O: 0.000 0.096 0.500
O: 0.000 0.196 0.000
O: 0.000 0.400 0.000
O: 0.162 0.000 0.500
O: 0.166 0.199 0.500
O: 0.166 0.303 0.000
O: 0.170 0.400 0.500
O: 0.170 0.500 0.000

***

2.
Structure and calculated XRD peak list of Li2DyZn10 (a GGA-PBE-relaxed structure; Cu Kα).

Largest 6 diffraction maxima, sorted by position, 5° ≤ 2θ ≤ 70°:
- 34.84 deg, I 93
- 36.53 deg, I 48
- 39.77 deg, I 75
- 40.20 deg, I 91
- 40.35 deg, I 100
- 41.78 deg, I 72

Atomic structure:
a = 4.919 Å, b = 12.791 Å, c = 12.854 Å
α = 90.00°, β = 90.00°, γ = 90.00°
Space group Fmmm (No. 69)
Symmetry-distinct sites (fractional):
Li: 0.250 0.250 0.000
Dy: 0.000 0.000 0.000
Zn: 0.000 0.111 0.394
Zn: 0.000 0.180 0.173
Zn: 0.250 0.000 0.250

***

3.
Structure and calculated XRD peak list of Li3Pm2Ag3 (a GGA-PBE-relaxed structure; Cu Kα).

Largest 6 diffraction maxima, sorted by position, 5° ≤ 2θ ≤ 70°:
- 12.38 deg, I 100
- 25.27 deg, I 69
- 34.25 deg, I 98
- 36.56 deg, I 29
- 37.76 deg, I 55
- 45.79 deg, I 28

Atomic structure:
a = 8.2535 Å, b = 8.2535 Å, c = 6.7726 Å
α = 90.00°, β = 90.00°, γ = 120.00°
Space group P6_3/mcm (No. 193)
Symmetry-distinct sites (fractional):
Li: 0.0000 0.2475 0.2500
Pm: 0.3333 0.6667 0.0000
Ag: 0.0000 0.3807 0.7500

***

4.
Structure and calculated XRD peak list of CePd2Pt5 (a GGA-PBE-relaxed structure; Cu Kα).

Largest 6 diffraction maxima, sorted by position, 5° ≤ 2θ ≤ 70°:
- 33.91 deg, I 59
- 37.19 deg, I 100
- 41.24 deg, I 53
- 44.26 deg, I 34
- 44.40 deg, I 32
- 48.32 deg, I 29

Atomic structure:
a = 3.767 Å, b = 8.071 Å, c = 9.458 Å
α = 90.00°, β = 90.00°, γ = 90.00°
Space group Immm (No. 71)
Symmetry-distinct sites (fractional):
Ce: 0.000 0.000 0.000
Pd: 0.000 0.500 0.293
Pt: 0.000 0.182 0.353
Pt: 0.000 0.500 0.000

***

5.
Structure and calculated XRD peak list of KCa2TbBr8 (a GGA-PBE-relaxed structure; Cu Kα).

Largest 6 diffraction maxima, sorted by position, 5° ≤ 2θ ≤ 70°:
- 9.77 deg, I 27
- 26.94 deg, I 100
- 28.49 deg, I 36
- 35.61 deg, I 33
- 35.75 deg, I 30
- 43.33 deg, I 35

Atomic structure:
a = 6.701 Å, b = 9.054 Å, c = 7.060 Å
α = 90.00°, β = 90.41°, γ = 90.00°
Space group P2/m (No. 10)
Symmetry-distinct sites (fractional):
K: 0.000 0.000 0.000
Ca: 0.500 0.249 0.500
Tb: 0.000 0.500 0.000
Br: 0.241 0.281 0.165
Br: 0.259 0.500 0.671
Br: 0.269 0.000 0.630

***

6.
Structure and calculated XRD peak list of CaAl2SiO6 (a GGA-PBE-relaxed structure; Cu Kα).

Largest 6 diffraction maxima, sorted by position, 5° ≤ 2θ ≤ 70°:
- 30.08 deg, I 100
- 30.40 deg, I 29
- 30.87 deg, I 40
- 35.07 deg, I 42
- 35.86 deg, I 50
- 45.22 deg, I 22

Atomic structure:
a = 9.752 Å, b = 8.718 Å, c = 5.325 Å
α = 90.00°, β = 106.07°, γ = 90.00°
Space group Cc (No. 9)
Symmetry-distinct sites (fractional):
Ca: 0.000 0.187 0.000
Al: 0.010 0.410 0.522
Al: 0.299 0.402 0.968
Si: 0.225 0.096 0.543
O: 0.108 0.427 0.883
O: 0.143 0.257 0.464
O: 0.165 0.010 0.771
O: 0.375 0.224 0.080
O: 0.375 0.475 0.732
O: 0.399 0.090 0.635

***

Please write out number 4 again, unchanged.
Structure and calculated XRD peak list of CePd2Pt5 (a GGA-PBE-relaxed structure; Cu Kα).

Largest 6 diffraction maxima, sorted by position, 5° ≤ 2θ ≤ 70°:
- 33.91 deg, I 59
- 37.19 deg, I 100
- 41.24 deg, I 53
- 44.26 deg, I 34
- 44.40 deg, I 32
- 48.32 deg, I 29

Atomic structure:
a = 3.767 Å, b = 8.071 Å, c = 9.458 Å
α = 90.00°, β = 90.00°, γ = 90.00°
Space group Immm (No. 71)
Symmetry-distinct sites (fractional):
Ce: 0.000 0.000 0.000
Pd: 0.000 0.500 0.293
Pt: 0.000 0.182 0.353
Pt: 0.000 0.500 0.000

***

Number 1 is which compound? Ba4Nb14O23